No. 1
Simulated XRD peak list
Compound: Li3Co4SnO8
Radiation: Cu Ka
Structure: a DFT-relaxed cell (GGA+U, Alexandria)

Top 10 peaks for 5 to 70 degrees two-theta, sorted by position:
18.02°, I = 100; 20.91°, I = 11; 34.74°, I = 41; 36.09°, I = 13; 36.49°, I = 39; 42.13°, I = 68; 42.56°, I = 33; 46.53°, I = 12; 61.14°, I = 20; 61.72°, I = 19

Structure:
```
Li3Co4SnO8
1.0
5.197 -3.024 0.000
5.197 3.024 0.000
-3.505 0.000 4.977
Li Co Sn O
3 4 1 8
direct
0.000 0.000 0.000 Li
0.000 0.500 0.500 Li
0.500 0.000 0.500 Li
0.000 0.000 0.500 Co
0.000 0.500 0.000 Co
0.500 0.000 0.000 Co
0.500 0.500 0.000 Co
0.500 0.500 0.500 Sn
0.249 0.249 0.767 O
0.253 0.741 0.740 O
0.255 0.255 0.239 O
0.259 0.747 0.260 O
0.741 0.253 0.740 O
0.745 0.745 0.761 O
0.747 0.259 0.260 O
0.751 0.751 0.233 O
```

=====

No. 2
Simulated XRD peak list
Compound: Li3Co4SnO8
Radiation: Cu Ka
Structure: a DFT-relaxed cell (GGA+U, Alexandria)

Top 10 peaks for 5 to 70 degrees two-theta, sorted by position:
17.99°, I = 100; 18.10°, I = 17; 34.35°, I = 17; 35.04°, I = 30; 36.29°, I = 30; 36.47°, I = 15; 41.66°, I = 40; 42.40°, I = 38; 42.90°, I = 37; 61.75°, I = 22

Structure:
```
Li3Co4SnO8
1.0
6.007 0.000 0.000
2.950 5.241 0.000
2.924 1.485 9.906
Li Co Sn O
6 8 2 16
direct
0.000 0.000 0.000 Li
0.241 0.751 0.256 Li
0.242 0.746 0.759 Li
0.500 0.500 0.500 Li
0.758 0.254 0.241 Li
0.759 0.249 0.744 Li
0.000 0.000 0.500 Co
0.000 0.500 0.000 Co
0.000 0.500 0.500 Co
0.248 0.249 0.747 Co
0.500 0.000 0.000 Co
0.500 0.000 0.500 Co
0.500 0.500 0.000 Co
0.752 0.751 0.253 Co
0.254 0.249 0.251 Sn
0.746 0.751 0.749 Sn
0.111 0.620 0.620 O
0.121 0.154 0.611 O
0.130 0.612 0.129 O
0.140 0.128 0.121 O
0.342 0.378 0.889 O
0.349 0.380 0.383 O
0.373 0.886 0.369 O
0.381 0.871 0.873 O
0.619 0.129 0.127 O
0.627 0.114 0.631 O
0.651 0.620 0.617 O
0.658 0.622 0.111 O
0.860 0.872 0.879 O
0.870 0.388 0.871 O
0.879 0.846 0.389 O
0.889 0.380 0.380 O
```